Diffraction record for TaZnSnO6. The XRD peak list is theoretical, not measured: it uses a structure optimized by DFT (GGA-PBE) and Cu Kα (weighted mean of Kα1 and Kα2).
Lines closer than 0.1° are merged.

The 8 most intense peaks (10 to 80 degrees two-theta), in order of rising 2θ:
- d = 4.290 Å, 2θ 20.7, intensity 20.8, (1 0 1)
- d = 3.402 Å, 2θ 26.2, intensity 100.0, (1 1 0)
- d = 2.640 Å, 2θ 34.0, intensity 80.3, (1 0 3)
- d = 2.406 Å, 2θ 37.4, intensity 23.4, (2 0 0)
- d = 1.778 Å, 2θ 51.4, intensity 67.4, (2 1 3)
- d = 1.701 Å, 2θ 53.9, intensity 17.0, (2 2 0)
- d = 1.521 Å, 2θ 60.9, intensity 16.1, (3 1 0)
- d = 1.430 Å, 2θ 65.3, intensity 20.1, (3 0 3)

Crystal structure
Unit cell a=4.8111 b=4.8111 c=9.4723 alpha=90.00 beta=90.00 gamma=90.00
Space group P4_2nm (No. 102)
Inequivalent atoms, fractional coordinates:
Ta1 0.0000 0.0000 0.0000 x2
Zn1 0.0000 0.0000 0.3321 x2
Sn1 0.0000 0.0000 0.6632 x2
O1 0.1912 0.1912 0.8370 x4
O2 0.1961 0.1961 0.1538 x4
O3 0.2041 0.2041 0.5000 x4

Diffraction record for LiHgPb2. The XRD peak list is theoretical, not measured: it uses a structure optimized by DFT (GGA-PBE) and Cu Kα (weighted mean of Kα1 and Kα2).
Lines closer than 0.1° are merged.

The 8 most intense peaks (10 to 80 degrees two-theta), in order of rising 2θ:
- d = 3.150 Å, 2θ 28.3, intensity 38.3, (1 1 1)
- d = 3.115 Å, 2θ 28.7, intensity 23.4, (0 0 3)
- d = 2.720 Å, 2θ 32.9, intensity 100.0, (1 1 2)
- d = 2.374 Å, 2θ 37.9, intensity 20.1, (0 2 0)
- d = 2.358 Å, 2θ 38.2, intensity 19.7, (2 0 0)
- d = 1.632 Å, 2θ 56.4, intensity 22.7, (1 1 5)
- d = 1.474 Å, 2θ 63.1, intensity 14.7, (2 2 3)
- d = 1.428 Å, 2θ 65.3, intensity 14.4, (1 3 2)

Crystal structure
Unit cell a=4.7150 b=4.7477 c=9.3454 alpha=90.00 beta=90.00 gamma=90.00
Space group Cmmm (No. 65)
Inequivalent atoms, fractional coordinates:
Li1 0.0000 0.0000 0.0000 x2
Hg1 0.0000 0.0000 0.5000 x2
Pb1 0.0000 0.5000 0.2122 x4

Diffraction record for Tl2Cd3In4. The XRD peak list is theoretical, not measured: it uses a structure optimized by DFT (GGA-PBE) and Cu Kα (weighted mean of Kα1 and Kα2).
Lines closer than 0.1° are merged.

The 8 most intense peaks (10 to 80 degrees two-theta), in order of rising 2θ:
- d = 3.164 Å, 2θ 28.2, intensity 27.6, (0 2 4)
- d = 2.999 Å, 2θ 29.8, intensity 29.3, (1 3 1)
- d = 2.889 Å, 2θ 31.0, intensity 27.3, (2 0 0)
- d = 2.663 Å, 2θ 33.7, intensity 64.0, (1 1 5)
- d = 2.635 Å, 2θ 34.0, intensity 100.0, (1 3 3)
- d = 2.550 Å, 2θ 35.2, intensity 46.9, (0 4 2)
- d = 2.422 Å, 2θ 37.1, intensity 26.1, (2 2 2)
- d = 1.550 Å, 2θ 59.7, intensity 22.7, (2 2 8)

Crystal structure
Unit cell a=5.7779 b=10.8010 c=15.6205 alpha=90.00 beta=90.00 gamma=90.00
Space group Fmmm (No. 69)
Inequivalent atoms, fractional coordinates:
Tl1 0.0000 0.0000 0.1206 x8
Cd1 0.0000 0.0000 0.5000 x4
Cd2 0.2500 0.2500 0.0000 x8
In1 0.0000 0.1533 0.3214 x16

Please write out number 3 again, unchanged.
Diffraction record for Tl2Cd3In4. The XRD peak list is theoretical, not measured: it uses a structure optimized by DFT (GGA-PBE) and Cu Kα (weighted mean of Kα1 and Kα2).
Lines closer than 0.1° are merged.

The 8 most intense peaks (10 to 80 degrees two-theta), in order of rising 2θ:
- d = 3.164 Å, 2θ 28.2, intensity 27.6, (0 2 4)
- d = 2.999 Å, 2θ 29.8, intensity 29.3, (1 3 1)
- d = 2.889 Å, 2θ 31.0, intensity 27.3, (2 0 0)
- d = 2.663 Å, 2θ 33.7, intensity 64.0, (1 1 5)
- d = 2.635 Å, 2θ 34.0, intensity 100.0, (1 3 3)
- d = 2.550 Å, 2θ 35.2, intensity 46.9, (0 4 2)
- d = 2.422 Å, 2θ 37.1, intensity 26.1, (2 2 2)
- d = 1.550 Å, 2θ 59.7, intensity 22.7, (2 2 8)

Crystal structure
Unit cell a=5.7779 b=10.8010 c=15.6205 alpha=90.00 beta=90.00 gamma=90.00
Space group Fmmm (No. 69)
Inequivalent atoms, fractional coordinates:
Tl1 0.0000 0.0000 0.1206 x8
Cd1 0.0000 0.0000 0.5000 x4
Cd2 0.2500 0.2500 0.0000 x8
In1 0.0000 0.1533 0.3214 x16